Diffraction record for CdSnAs2. The powder diffraction line list is calculated, not measured: it uses a cell relaxed with GGA-PBE and Cu Kα.
Lines closer than 0.1° are merged.

Principal peaks in the range 5 to 70 degrees two-theta, sorted by position:
| 2θ/deg | I (rel.) |
| --- | --- |
| 26.96 | 6 |
| 31.19 | 100 |
| 44.60 | 37 |
| 44.78 | 37 |
| 53.00 | 3 |
| 55.28 | 7 |
| 55.58 | 19 |
| 65.05 | 12 |

Structural model:
```
4
Lattice="2.0237 1.1684 6.6475 -2.0237 1.1684 6.6475 0.0000 -2.3368 6.6475" Properties=species:S:1:pos:R:3 pbc="T T T"
Cd 0.0000 0.0000 0.0000
Sn 0.0000 0.0000 9.9712
As 0.0000 0.0000 4.9748
As 0.0000 0.0000 14.9676
```